For TmTh2Tl, a PBE-relaxed structure gives the simulated X-ray diffraction stick pattern in this record (Cu Ka).
Lines closer than 0.1° are merged.

Cell and atoms:
a b c (Å): 7.152 4.900 7.477
angles (deg): 90.00 112.77 90.00
Atoms (fractional coordinates):
Tm 0.066 0.250 0.355
Tm 0.934 0.750 0.645
Th 0.313 0.250 0.881
Th 0.421 0.750 0.617
Th 0.579 0.250 0.383
Th 0.687 0.750 0.119
Tl 0.200 0.750 0.135
Tl 0.800 0.250 0.865

The 10 most intense peaks (10 to 80 degrees two-theta), low angle first:
2θ 31.06, d 2.879, I = 100.0
2θ 31.74, d 2.819, I = 93.9
2θ 34.39, d 2.607, I = 37.7
2θ 36.68, d 2.450, I = 32.8
2θ 38.09, d 2.362, I = 28.4
2θ 51.16, d 1.786, I = 25.0
2θ 53.91, d 1.701, I = 21.3
2θ 59.13, d 1.563, I = 15.9
2θ 60.35, d 1.534, I = 14.5
2θ 62.57, d 1.484, I = 14.0

---

For ZrBe10Cr, a PBE-relaxed structure gives the simulated X-ray diffraction stick pattern in this record (Cu Ka).
Lines closer than 0.1° are merged.

Cell and atoms:
a b c (Å): 3.440 4.377 7.647
angles (deg): 90.00 90.00 90.00
Atoms (fractional coordinates):
Zr 0.000 0.000 0.000
Be 0.000 0.000 0.348
Be 0.000 0.000 0.652
Be 0.000 0.500 0.187
Be 0.000 0.500 0.813
Be 0.500 0.000 0.500
Be 0.500 0.252 0.262
Be 0.500 0.252 0.738
Be 0.500 0.500 0.000
Be 0.500 0.748 0.262
Be 0.500 0.748 0.738
Cr 0.000 0.500 0.500

The 10 most intense peaks (10 to 80 degrees two-theta), low angle first:
2θ 23.27, d 3.823, I = 47.7
2θ 23.42, d 3.798, I = 95.3
2θ 25.90, d 3.440, I = 45.9
2θ 35.09, d 2.557, I = 48.5
2θ 35.20, d 2.550, I = 100.0
2θ 40.98, d 2.203, I = 35.8
2θ 47.90, d 1.899, I = 25.8
2θ 49.12, d 1.855, I = 54.3
2θ 49.36, d 1.846, I = 27.1
2θ 58.93, d 1.567, I = 21.3